(1)
Structure and computed XRD peak list of SrBr2O6 (the PBE geometry in the Materials Project; CuKα).
No peak broadening, texture or thermal motion is included.

Largest 10 diffraction maxima, by angle, 10 to 80 degrees two-theta:
25.7 deg, I 88
25.9 deg, I 100
26.4 deg, I 89
27.0 deg, I 81
27.2 deg, I 80
27.3 deg, I 49
32.1 deg, I 39
32.5 deg, I 45
43.0 deg, I 32
47.1 deg, I 39

Cell and atoms:
abc: 7.187 7.187 7.535
angles: 105.39 105.39 114.68
Element x y z (fractional)
Sr 0.121 0.879 0.500
Sr 0.879 0.121 0.000
Br 0.099 0.729 0.963
Br 0.395 0.534 0.537
Br 0.534 0.395 0.037
Br 0.729 0.099 0.463
O 0.036 0.872 0.132
O 0.138 0.489 0.402
O 0.302 0.339 0.079
O 0.339 0.302 0.579
O 0.457 0.925 0.407
O 0.486 0.738 0.767
O 0.489 0.138 0.902
O 0.738 0.486 0.267
O 0.759 0.983 0.256
O 0.872 0.036 0.632
O 0.925 0.457 0.907
O 0.983 0.759 0.756

(2)
Structure and computed XRD peak list of Pu2O3 (the PBE geometry in the Materials Project; CuKα).
No peak broadening, texture or thermal motion is included.

Largest 8 diffraction maxima, by angle, 10 to 80 degrees two-theta:
28.7 deg, I 100
33.2 deg, I 41
47.7 deg, I 46
56.6 deg, I 47
59.4 deg, I 11
69.8 deg, I 7
77.1 deg, I 19
79.5 deg, I 16

Cell and atoms:
abc: 5.390 5.390 5.390
angles: 90.00 90.00 90.00
Element x y z (fractional)
Pu 0.000 0.000 0.000
Pu 0.000 0.500 0.500
Pu 0.500 0.000 0.500
Pu 0.500 0.500 0.000
O 0.250 0.250 0.750
O 0.250 0.750 0.250
O 0.250 0.750 0.750
O 0.750 0.250 0.250
O 0.750 0.250 0.750
O 0.750 0.750 0.250

(3)
Structure and computed XRD peak list of Li2Cu2Si2O7 (the PBE geometry in the Materials Project; CuKα).
No peak broadening, texture or thermal motion is included.

Largest 10 diffraction maxima, by angle, 10 to 80 degrees two-theta:
12.9 deg, I 47
13.5 deg, I 100
21.1 deg, I 31
23.9 deg, I 40
28.1 deg, I 75
28.4 deg, I 48
33.7 deg, I 36
34.2 deg, I 30
35.4 deg, I 37
38.7 deg, I 31

Cell and atoms:
abc: 5.493 13.153 9.693
angles: 90.00 123.60 90.00
Element x y z (fractional)
Li 0.029 0.243 0.320
Li 0.029 0.257 0.820
Li 0.276 0.150 0.621
Li 0.276 0.350 0.121
Li 0.724 0.650 0.879
Li 0.724 0.850 0.379
Li 0.971 0.743 0.180
Li 0.971 0.757 0.680
Cu 0.170 0.511 0.815
Cu 0.170 0.989 0.315
Cu 0.447 0.082 0.100
Cu 0.447 0.418 0.600
Cu 0.553 0.582 0.400
Cu 0.553 0.918 0.900
Cu 0.830 0.011 0.685
Cu 0.830 0.489 0.185
Si 0.210 0.617 0.539
Si 0.210 0.883 0.039
Si 0.366 0.669 0.054
Si 0.366 0.831 0.554
Si 0.634 0.169 0.446
Si 0.634 0.331 0.946
Si 0.790 0.117 0.961
Si 0.790 0.383 0.461
O 0.075 0.640 0.869
O 0.075 0.860 0.369
O 0.103 0.169 0.027
O 0.103 0.331 0.527
O 0.217 0.527 0.419
O 0.217 0.973 0.919
O 0.291 0.654 0.193
O 0.291 0.846 0.693
O 0.330 0.120 0.411
O 0.330 0.380 0.911
O 0.385 0.569 0.725
O 0.385 0.931 0.225
O 0.429 0.707 0.546
O 0.429 0.793 0.046
O 0.571 0.207 0.954
O 0.571 0.293 0.454
O 0.615 0.069 0.775
O 0.615 0.431 0.275
O 0.670 0.620 0.089
O 0.670 0.880 0.589
O 0.709 0.154 0.307
O 0.709 0.346 0.807
O 0.783 0.027 0.081
O 0.783 0.473 0.581
O 0.897 0.669 0.473
O 0.897 0.831 0.973
O 0.925 0.140 0.631
O 0.925 0.360 0.131

(4)
Structure and computed XRD peak list of Ba2CaCuBi2F14 (the PBE geometry in the Materials Project; CuKα).
No peak broadening, texture or thermal motion is included.

Largest 10 diffraction maxima, by angle, 10 to 80 degrees two-theta:
16.4 deg, I 40
17.1 deg, I 50
21.7 deg, I 58
24.5 deg, I 78
25.1 deg, I 39
26.8 deg, I 72
27.8 deg, I 100
39.0 deg, I 36
41.4 deg, I 34
48.4 deg, I 40

Cell and atoms:
abc: 7.734 7.734 16.367
angles: 90.17 90.17 42.05
Element x y z (fractional)
Ba 0.088 0.284 0.374
Ba 0.284 0.088 0.874
Ba 0.716 0.912 0.126
Ba 0.912 0.716 0.626
Ca 0.429 0.571 0.250
Ca 0.571 0.429 0.750
Cu 0.500 0.500 0.000
Cu 0.500 0.500 0.500
Bi 0.050 0.173 0.121
Bi 0.173 0.050 0.621
Bi 0.827 0.950 0.379
Bi 0.950 0.827 0.879
F 0.027 0.637 0.287
F 0.092 0.863 0.168
F 0.116 0.584 0.461
F 0.119 0.400 0.105
F 0.137 0.908 0.332
F 0.139 0.716 0.013
F 0.190 0.567 0.765
F 0.284 0.861 0.487
F 0.363 0.973 0.213
F 0.371 0.586 0.612
F 0.400 0.119 0.605
F 0.414 0.629 0.888
F 0.416 0.884 0.039
F 0.433 0.810 0.735
F 0.567 0.190 0.265
F 0.584 0.116 0.961
F 0.586 0.371 0.112
F 0.600 0.881 0.395
F 0.629 0.414 0.388
F 0.637 0.027 0.787
F 0.716 0.139 0.513
F 0.810 0.433 0.235
F 0.861 0.284 0.987
F 0.863 0.092 0.668
F 0.881 0.600 0.895
F 0.884 0.416 0.539
F 0.908 0.137 0.832
F 0.973 0.363 0.713

(5)
Structure and computed XRD peak list of Tm2Al9Pd3 (the PBE geometry in the Materials Project; CuKα).
No peak broadening, texture or thermal motion is included.

Largest 10 diffraction maxima, by angle, 10 to 80 degrees two-theta:
16.3 deg, I 22
25.2 deg, I 55
30.1 deg, I 100
37.0 deg, I 68
38.1 deg, I 27
40.9 deg, I 63
41.0 deg, I 29
51.7 deg, I 20
57.1 deg, I 25
64.0 deg, I 19

Cell and atoms:
abc: 7.630 7.630 9.437
angles: 90.00 90.00 60.25
Element x y z (fractional)
Tm 0.006 0.669 0.750
Tm 0.331 0.994 0.750
Tm 0.669 0.006 0.250
Tm 0.994 0.331 0.250
Al 0.000 0.334 0.577
Al 0.000 0.334 0.923
Al 0.000 0.666 0.077
Al 0.000 0.666 0.423
Al 0.127 0.873 0.250
Al 0.333 0.667 0.561
Al 0.333 0.667 0.939
Al 0.334 0.000 0.077
Al 0.334 0.000 0.423
Al 0.337 0.454 0.250
Al 0.454 0.337 0.750
Al 0.546 0.663 0.250
Al 0.663 0.546 0.750
Al 0.666 0.000 0.577
Al 0.666 0.000 0.923
Al 0.667 0.333 0.061
Al 0.667 0.333 0.439
Al 0.873 0.127 0.750
Pd 0.000 0.000 0.000
Pd 0.000 0.000 0.500
Pd 0.329 0.329 0.000
Pd 0.329 0.329 0.500
Pd 0.671 0.671 0.000
Pd 0.671 0.671 0.500

(6)
Structure and computed XRD peak list of Ba2CaCeGd2Ti2Cu2O14 (the PBE geometry in the Materials Project; CuKα).
No peak broadening, texture or thermal motion is included.

Largest 10 diffraction maxima, by angle, 10 to 80 degrees two-theta:
23.2 deg, I 16
31.5 deg, I 100
32.4 deg, I 46
41.9 deg, I 19
43.6 deg, I 11
46.5 deg, I 30
54.0 deg, I 11
55.4 deg, I 17
57.2 deg, I 36
65.7 deg, I 13

Cell and atoms:
abc: 3.905 3.905 20.752
angles: 90.00 90.00 90.00
Element x y z (fractional)
Ba 0.000 0.000 0.000
Ba 0.500 0.500 0.486
Ca 0.000 0.000 0.810
Ce 0.500 0.500 0.304
Gd 0.000 0.000 0.181
Gd 0.500 0.500 0.684
Ti 0.000 0.000 0.597
Ti 0.500 0.500 0.892
Cu 0.000 0.000 0.389
Cu 0.500 0.500 0.098
O 0.000 0.000 0.507
O 0.000 0.000 0.698
O 0.000 0.500 0.108
O 0.000 0.500 0.247
O 0.000 0.500 0.381
O 0.000 0.500 0.606
O 0.000 0.500 0.884
O 0.500 0.000 0.108
O 0.500 0.000 0.247
O 0.500 0.000 0.381
O 0.500 0.000 0.606
O 0.500 0.000 0.884
O 0.500 0.500 0.786
O 0.500 0.500 0.982

(7)
Structure and computed XRD peak list of SmPO4 (the PBE geometry in the Materials Project; CuKα).
No peak broadening, texture or thermal motion is included.

Largest 10 diffraction maxima, by angle, 10 to 80 degrees two-theta:
19.2 deg, I 29
21.3 deg, I 49
27.1 deg, I 58
29.0 deg, I 100
31.6 deg, I 62
34.5 deg, I 23
41.5 deg, I 23
46.7 deg, I 31
48.9 deg, I 26
53.1 deg, I 30

Cell and atoms:
abc: 6.402 6.965 8.116
angles: 90.00 125.80 90.00
Element x y z (fractional)
Sm 0.188 0.155 0.284
Sm 0.188 0.345 0.784
Sm 0.812 0.655 0.216
Sm 0.812 0.845 0.716
P 0.309 0.660 0.198
P 0.309 0.840 0.698
P 0.691 0.160 0.302
P 0.691 0.340 0.802
O 0.118 0.666 0.617
O 0.118 0.834 0.117
O 0.185 0.503 0.250
O 0.185 0.997 0.750
O 0.342 0.600 0.030
O 0.342 0.900 0.530
O 0.412 0.210 0.123
O 0.412 0.290 0.623
O 0.588 0.710 0.377
O 0.588 0.790 0.877
O 0.658 0.100 0.470
O 0.658 0.400 0.970
O 0.815 0.003 0.250
O 0.815 0.497 0.750
O 0.882 0.166 0.883
O 0.882 0.334 0.383

(8)
Structure and computed XRD peak list of Ba7Al4Sb9 (the PBE geometry in the Materials Project; CuKα).
No peak broadening, texture or thermal motion is included.

Largest 10 diffraction maxima, by angle, 10 to 80 degrees two-theta:
24.3 deg, I 32
25.3 deg, I 100
28.3 deg, I 25
29.8 deg, I 22
31.1 deg, I 22
32.9 deg, I 26
35.4 deg, I 37
39.1 deg, I 16
45.6 deg, I 11
52.0 deg, I 11

Cell and atoms:
abc: 10.897 18.423 7.334
angles: 90.00 90.00 90.00
Element x y z (fractional)
Ba 0.024 0.126 0.047
Ba 0.024 0.374 0.047
Ba 0.250 0.037 0.545
Ba 0.250 0.463 0.545
Ba 0.250 0.750 0.587
Ba 0.476 0.126 0.047
Ba 0.476 0.374 0.047
Ba 0.524 0.626 0.953
Ba 0.524 0.874 0.953
Ba 0.750 0.250 0.413
Ba 0.750 0.537 0.455
Ba 0.750 0.963 0.455
Ba 0.976 0.626 0.953
Ba 0.976 0.874 0.953
Al 0.075 0.250 0.560
Al 0.250 0.623 0.241
Al 0.250 0.877 0.241
Al 0.425 0.250 0.560
Al 0.575 0.750 0.440
Al 0.750 0.123 0.759
Al 0.750 0.377 0.759
Al 0.925 0.750 0.440
Sb 0.041 0.619 0.453
Sb 0.041 0.881 0.453
Sb 0.250 0.250 0.290
Sb 0.250 0.250 0.831
Sb 0.250 0.509 0.020
Sb 0.250 0.750 0.047
Sb 0.250 0.991 0.020
Sb 0.459 0.619 0.453
Sb 0.459 0.881 0.453
Sb 0.541 0.119 0.547
Sb 0.541 0.381 0.547
Sb 0.750 0.009 0.980
Sb 0.750 0.250 0.953
Sb 0.750 0.491 0.980
Sb 0.750 0.750 0.169
Sb 0.750 0.750 0.710
Sb 0.959 0.119 0.547
Sb 0.959 0.381 0.547

Q: Which formula does entry 6 have?
A: Ba2CaCeGd2Ti2Cu2O14